1.
This entry pairs a crystal structure of Tb5ErIn8 with its computed powder diffractogram. Radiation: copper Kα. Structure: a cell relaxed with PBE.
No peak broadening, texture or thermal motion is included.

Structural model:
abc: 9.215 9.215 9.155
angles: 90.00 90.00 90.00
Space group I-4 (No. 82)
Asymmetric unit:
Tb1 0.000 0.000 0.000 [2 per cell]
Tb2 0.123 0.753 0.625 [8 per cell]
Er1 0.000 0.500 0.250 [2 per cell]
In1 0.082 0.665 0.961 [8 per cell]
In2 0.086 0.831 0.289 [8 per cell]

Main lines, sorted by position (15 to 90 degrees two-theta):
Position (°2θ)	I (rel.)
23.70	25.1
30.69	100.0
30.87	48.6
36.53	84.6
36.64	43.4
43.97	21.1
44.19	10.0
46.31	20.1
48.45	16.2
50.67	12.0
62.14	30.5
75.92	11.9



2.
This entry pairs a crystal structure of Tb3Er5In2 with its computed powder diffractogram. Radiation: copper Kα. Structure: a cell relaxed with PBE.
No peak broadening, texture or thermal motion is included.

Structural model:
abc: 12.656 15.547 6.314
angles: 90.00 90.00 90.00
Space group Ibam (No. 72)
Asymmetric unit:
Tb1 0.000 0.000 0.250 [4 per cell]
Tb2 0.113 0.232 0.000 [8 per cell]
Er1 0.000 0.500 0.250 [4 per cell]
Er2 0.124 0.337 0.500 [8 per cell]
Er3 0.249 0.500 0.250 [8 per cell]
In1 0.136 0.147 0.500 [8 per cell]

Main lines, sorted by position (15 to 90 degrees two-theta):
Position (°2θ)	I (rel.)
22.88	11.4
26.33	16.9
30.53	100.0
34.62	10.8
35.16	32.0
36.65	25.8
40.36	39.2
54.20	12.1
54.58	17.1
67.09	11.7
67.34	19.7
70.96	7.6



3.
This entry pairs a crystal structure of TbEr4In3 with its computed powder diffractogram. Radiation: copper Kα. Structure: a cell relaxed with PBE.
No peak broadening, texture or thermal motion is included.

Structural model:
abc: 5.2959 5.2959 27.5709
angles: 90.00 90.00 120.00
Space group R-3m (No. 166, hexagonal axes)
Asymmetric unit:
Tb1 0.0000 0.0000 0.0000 [3 per cell]
Er1 0.0000 0.0000 0.1284 [6 per cell]
Er2 0.0000 0.0000 0.3887 [6 per cell]
In1 0.0000 0.0000 0.2663 [6 per cell]
In2 0.0000 0.0000 0.5000 [3 per cell]

Main lines, sorted by position (15 to 90 degrees two-theta):
Position (°2θ)	I (rel.)
29.90	16.2
32.50	84.0
33.85	100.0
38.08	5.9
47.63	28.9
57.10	6.6
59.71	29.2
60.57	19.8
61.40	14.0
71.22	12.2
80.48	12.4
81.97	6.3



4.
This entry pairs a crystal structure of Tb3Er7In2 with its computed powder diffractogram. Radiation: copper Kα. Structure: a cell relaxed with PBE.
No peak broadening, texture or thermal motion is included.

Structural model:
abc: 6.5163 6.5163 31.1605
angles: 90.00 90.00 120.00
Space group R-3m (No. 166, hexagonal axes)
Asymmetric unit:
Tb1 0.0000 0.0000 0.0000 [3 per cell]
Tb2 0.0000 0.0000 0.1437 [6 per cell]
Er1 0.0000 0.0000 0.5000 [3 per cell]
Er2 0.0012 0.5006 0.9191 [18 per cell]
In1 0.0000 0.0000 0.3336 [6 per cell]

Main lines, sorted by position (15 to 90 degrees two-theta):
Position (°2θ)	I (rel.)
25.49	18.5
27.37	19.2
27.83	22.3
31.84	38.6
32.24	18.3
32.44	100.0
34.54	26.0
34.91	34.8
51.68	26.9
52.35	15.7
56.49	30.2
67.92	21.9



5.
This entry pairs a crystal structure of TbEr4In3 with its computed powder diffractogram. Radiation: copper Kα. Structure: a cell relaxed with PBE.
No peak broadening, texture or thermal motion is included.

Structural model:
abc: 3.468 8.773 15.089
angles: 90.00 90.00 90.00
Space group Immm (No. 71)
Asymmetric unit:
Tb1 0.000 0.000 0.000 [2 per cell]
Er1 0.000 0.302 0.141 [8 per cell]
In1 0.000 0.000 0.500 [2 per cell]
In2 0.000 0.500 0.315 [4 per cell]

Main lines, sorted by position (15 to 90 degrees two-theta):
Position (°2θ)	I (rel.)
26.37	27.4
30.14	66.4
31.15	31.0
31.29	100.0
33.47	33.2
35.51	41.6
35.70	31.5
36.66	40.9
37.59	85.0
52.79	32.5
62.63	28.8
64.44	27.1



6.
This entry pairs a crystal structure of Tb2Er4In with its computed powder diffractogram. Radiation: copper Kα. Structure: a cell relaxed with PBE.
No peak broadening, texture or thermal motion is included.

Structural model:
abc: 5.774 6.595 11.380
angles: 90.00 103.90 90.00
Space group P2_1/m (No. 11)
Asymmetric unit:
Tb1 0.056 0.250 0.479 [2 per cell]
Tb2 0.339 0.750 0.073 [2 per cell]
Er1 0.158 0.007 0.787 [4 per cell]
Er2 0.214 0.250 0.065 [2 per cell]
Er3 0.379 0.750 0.372 [2 per cell]
In1 0.476 0.250 0.339 [2 per cell]

Main lines, sorted by position (15 to 90 degrees two-theta):
Position (°2θ)	I (rel.)
27.04	26.4
28.97	28.2
30.98	76.0
31.51	50.8
31.60	66.6
32.13	100.0
32.52	78.8
33.50	54.4
33.66	46.0
34.78	30.9
34.99	26.8
55.74	34.2



Repeat the third record exactly.
This entry pairs a crystal structure of TbEr4In3 with its computed powder diffractogram. Radiation: copper Kα. Structure: a cell relaxed with PBE.
No peak broadening, texture or thermal motion is included.

Structural model:
abc: 5.2959 5.2959 27.5709
angles: 90.00 90.00 120.00
Space group R-3m (No. 166, hexagonal axes)
Asymmetric unit:
Tb1 0.0000 0.0000 0.0000 [3 per cell]
Er1 0.0000 0.0000 0.1284 [6 per cell]
Er2 0.0000 0.0000 0.3887 [6 per cell]
In1 0.0000 0.0000 0.2663 [6 per cell]
In2 0.0000 0.0000 0.5000 [3 per cell]

Main lines, sorted by position (15 to 90 degrees two-theta):
Position (°2θ)	I (rel.)
29.90	16.2
32.50	84.0
33.85	100.0
38.08	5.9
47.63	28.9
57.10	6.6
59.71	29.2
60.57	19.8
61.40	14.0
71.22	12.2
80.48	12.4
81.97	6.3